# 1
The following is a simulated powder X-ray diffraction pattern of Pr2Dy. It was derived from a cell relaxed with PBE, using copper Kα.
Peak positions follow from Bragg's law for the DFT cell and can differ from measured ones.

Most intense lines, 2θ = 10–90°, by intensity:
29.88°, d = 2.990 Å, intensity 100; 34.59°, d = 2.593 Å, intensity 34; 59.11°, d = 1.563 Å, intensity 29; 49.84°, d = 1.830 Å, intensity 24; 34.74°, d = 2.582 Å, intensity 17; 59.30°, d = 1.558 Å, intensity 14; 62.09°, d = 1.495 Å, intensity 12; 49.73°, d = 1.833 Å, intensity 12; 80.97°, d = 1.187 Å, intensity 12; 83.38°, d = 1.159 Å, intensity 11; 80.80°, d = 1.189 Å, intensity 6; 83.67°, d = 1.156 Å, intensity 5

```
data_Pr2Dy
_chemical_formula_sum 'Pr4 Dy2'
_symmetry_space_group_name_H-M 'I 4/m m m'
_symmetry_Int_Tables_number 139
_symmetry_space_group_name_Hall '-I 4 2'
_cell_length_a 3.667
_cell_length_b 3.667
_cell_length_c 15.494
_cell_angle_alpha 90.00
_cell_angle_beta 90.00
_cell_angle_gamma 90.00
loop_
_atom_site_label
_atom_site_type_symbol
_atom_site_fract_x
_atom_site_fract_y
_atom_site_fract_z
Pr1 Pr 0.000 0.000 0.164
Dy1 Dy 0.000 0.000 0.500
```


# 2
The following is a simulated powder X-ray diffraction pattern of Pr3Dy13. It was derived from a cell relaxed with PBE, using copper Kα.
Peak positions follow from Bragg's law for the DFT cell and can differ from measured ones.

Most intense lines, 2θ = 10–90°, by intensity:
32.44°, d = 2.760 Å, intensity 100; 31.39°, d = 2.850 Å, intensity 24; 28.29°, d = 3.155 Å, intensity 24; 56.54°, d = 1.628 Å, intensity 21; 42.76°, d = 2.115 Å, intensity 16; 60.34°, d = 1.534 Å, intensity 15; 50.12°, d = 1.820 Å, intensity 13; 60.89°, d = 1.521 Å, intensity 11; 86.77°, d = 1.122 Å, intensity 8; 60.23°, d = 1.536 Å, intensity 8; 50.00°, d = 1.824 Å, intensity 7; 61.04°, d = 1.518 Å, intensity 6

```
data_Pr3Dy13
_chemical_formula_sum 'Pr6 Dy26'
_symmetry_space_group_name_H-M 'A m m 2'
_symmetry_Int_Tables_number 38
_cell_length_a 7.297
_cell_length_b 11.401
_cell_length_c 12.600
_cell_angle_alpha 90.00
_cell_angle_beta 90.00
_cell_angle_gamma 90.00
loop_
_symmetry_equiv_pos_as_xyz
'x,y,z'
'-x,-y,z'
'-x,y,z'
'x,-y,z'
'x,y+1/2,z+1/2'
'-x,-y+1/2,z+1/2'
'-x,y+1/2,z+1/2'
'x,-y+1/2,z+1/2'
loop_
_atom_site_label
_atom_site_type_symbol
_atom_site_fract_x
_atom_site_fract_y
_atom_site_fract_z
Pr1 Pr 0.000 0.000 0.000
Pr2 Pr 0.252 0.000 0.747
Dy1 Dy 0.000 0.000 0.496
Dy2 Dy 0.000 0.249 0.165
Dy3 Dy 0.250 0.000 0.250
Dy4 Dy 0.251 0.247 0.415
Dy5 Dy 0.500 0.000 0.000
Dy6 Dy 0.500 0.000 0.496
Dy7 Dy 0.500 0.246 0.165
```


# 3
The following is a simulated powder X-ray diffraction pattern of Pr2Dy3. It was derived from a cell relaxed with PBE, using copper Kα.
Peak positions follow from Bragg's law for the DFT cell and can differ from measured ones.

Most intense lines, 2θ = 10–90°, by intensity:
30.31°, d = 2.949 Å, intensity 100; 35.12°, d = 2.555 Å, intensity 34; 60.12°, d = 1.539 Å, intensity 29; 50.55°, d = 1.806 Å, intensity 24; 35.16°, d = 2.552 Å, intensity 17; 59.97°, d = 1.543 Å, intensity 14; 84.90°, d = 1.142 Å, intensity 8; 62.93°, d = 1.477 Å, intensity 6; 63.15°, d = 1.472 Å, intensity 6; 50.39°, d = 1.811 Å, intensity 6; 50.65°, d = 1.802 Å, intensity 6; 82.21°, d = 1.173 Å, intensity 6

```
data_Pr2Dy3
_chemical_formula_sum 'Pr4 Dy6'
_symmetry_space_group_name_H-M 'C 1 2/m 1'
_symmetry_Int_Tables_number 12
_cell_length_a 11.401
_cell_length_b 5.105
_cell_length_c 8.071
_cell_angle_alpha 90.00
_cell_angle_beta 134.82
_cell_angle_gamma 90.00
loop_
_symmetry_equiv_pos_as_xyz
'x,y,z'
'-x,-y,-z'
'-x,y,-z'
'x,-y,z'
'x+1/2,y+1/2,z'
'-x+1/2,-y+1/2,-z'
'-x+1/2,y+1/2,-z'
'x+1/2,-y+1/2,z'
loop_
_atom_site_label
_atom_site_type_symbol
_atom_site_fract_x
_atom_site_fract_y
_atom_site_fract_z
Pr1 Pr 0.201 0.000 0.300
Dy1 Dy 0.000 0.000 0.500
Dy2 Dy 0.102 0.500 0.902
```


# 4
The following is a simulated powder X-ray diffraction pattern of PrDyPt2. It was derived from a cell relaxed with PBE, using copper Kα.
Peak positions follow from Bragg's law for the DFT cell and can differ from measured ones.

Most intense lines, 2θ = 10–90°, by intensity:
31.51°, d = 2.839 Å, intensity 100; 39.61°, d = 2.276 Å, intensity 86; 39.73°, d = 2.269 Å, intensity 34; 33.29°, d = 2.691 Å, intensity 31; 38.91°, d = 2.315 Å, intensity 25; 47.00°, d = 1.933 Å, intensity 21; 73.35°, d = 1.291 Å, intensity 20; 52.76°, d = 1.735 Å, intensity 19; 63.19°, d = 1.472 Å, intensity 18; 72.02°, d = 1.311 Å, intensity 15; 79.22°, d = 1.209 Å, intensity 13; 62.60°, d = 1.484 Å, intensity 12

```
data_PrDyPt2
_chemical_formula_sum 'Pr2 Dy2 Pt4'
_symmetry_space_group_name_H-M 'A m m 2'
_symmetry_Int_Tables_number 38
_cell_length_a 4.538
_cell_length_b 3.867
_cell_length_c 10.765
_cell_angle_alpha 90.00
_cell_angle_beta 90.00
_cell_angle_gamma 90.00
loop_
_symmetry_equiv_pos_as_xyz
'x,y,z'
'-x,-y,z'
'-x,y,z'
'x,-y,z'
'x,y+1/2,z+1/2'
'-x,-y+1/2,z+1/2'
'-x,y+1/2,z+1/2'
'x,-y+1/2,z+1/2'
loop_
_atom_site_label
_atom_site_type_symbol
_atom_site_fract_x
_atom_site_fract_y
_atom_site_fract_z
Pr1 Pr 0.000 0.000 0.000
Dy1 Dy 0.500 0.000 0.275
Pt1 Pt 0.000 0.000 0.728
Pt2 Pt 0.500 0.000 0.552
```


# 5
The following is a simulated powder X-ray diffraction pattern of Pr6Dy2Pu. It was derived from a cell relaxed with PBE, using copper Kα.
Peak positions follow from Bragg's law for the DFT cell and can differ from measured ones.

Most intense lines, 2θ = 10–90°, by intensity:
32.58°, d = 2.749 Å, intensity 100; 31.28°, d = 2.860 Å, intensity 87; 31.59°, d = 2.832 Å, intensity 79; 28.14°, d = 3.171 Å, intensity 32; 43.56°, d = 2.078 Å, intensity 25; 64.43°, d = 1.446 Å, intensity 23; 26.80°, d = 3.326 Å, intensity 22; 57.11°, d = 1.613 Å, intensity 21; 48.99°, d = 1.859 Å, intensity 16; 50.87°, d = 1.795 Å, intensity 14; 46.50°, d = 1.953 Å, intensity 12; 59.88°, d = 1.545 Å, intensity 12

```
data_Pr6Dy2Pu
_chemical_formula_sum 'Pr24 Dy8 Pu4'
_symmetry_space_group_name_H-M 'C 1 2/c 1'
_symmetry_Int_Tables_number 15
_cell_length_a 20.171
_cell_length_b 9.611
_cell_length_c 6.705
_cell_angle_alpha 90.00
_cell_angle_beta 109.37
_cell_angle_gamma 90.00
loop_
_symmetry_equiv_pos_as_xyz
'x,y,z'
'-x,-y,-z'
'-x,y,-z+1/2'
'x,-y,z+1/2'
'x+1/2,y+1/2,z'
'-x+1/2,-y+1/2,-z'
'-x+1/2,y+1/2,-z+1/2'
'x+1/2,-y+1/2,z+1/2'
loop_
_atom_site_label
_atom_site_type_symbol
_atom_site_fract_x
_atom_site_fract_y
_atom_site_fract_z
Pr1 Pr 0.028 0.183 0.028
Pr2 Pr 0.138 0.337 0.638
Pr3 Pr 0.169 0.000 0.419
Dy1 Dy 0.196 0.324 0.196
Pu1 Pu 0.000 0.500 0.250
```


# 6
The following is a simulated powder X-ray diffraction pattern of Pr3Dy6Pu. It was derived from a cell relaxed with PBE, using copper Kα.
Peak positions follow from Bragg's law for the DFT cell and can differ from measured ones.

Most intense lines, 2θ = 10–90°, by intensity:
31.36°, d = 2.853 Å, intensity 100; 29.15°, d = 3.064 Å, intensity 64; 54.46°, d = 1.685 Å, intensity 22; 43.34°, d = 2.088 Å, intensity 21; 55.82°, d = 1.647 Å, intensity 19; 32.31°, d = 2.771 Å, intensity 16; 41.60°, d = 2.171 Å, intensity 15; 57.17°, d = 1.611 Å, intensity 15; 65.43°, d = 1.426 Å, intensity 12; 75.53°, d = 1.259 Å, intensity 11; 37.20°, d = 2.417 Å, intensity 10; 49.42°, d = 1.844 Å, intensity 10

```
data_Pr3Dy6Pu
_chemical_formula_sum 'Pr9 Dy18 Pu3'
_symmetry_space_group_name_H-M 'R 3'
_symmetry_Int_Tables_number 146
_symmetry_space_group_name_Hall 'R 3'
_cell_length_a 9.8822
_cell_length_b 9.8822
_cell_length_c 11.7145
_cell_angle_alpha 90.00
_cell_angle_beta 90.00
_cell_angle_gamma 120.00
loop_
_atom_site_label
_atom_site_type_symbol
_atom_site_fract_x
_atom_site_fract_y
_atom_site_fract_z
Pr1 Pr 0.0000 0.0000 0.0000
Pr2 Pr 0.0000 0.0000 0.2524
Pr3 Pr 0.0000 0.0000 0.5153
Dy1 Dy 0.0030 0.6732 0.8854
Dy2 Dy 0.0140 0.3450 0.3910
Pu1 Pu 0.0000 0.0000 0.7551
```


# 7
The following is a simulated powder X-ray diffraction pattern of Pr2DyPuSe4. It was derived from a cell relaxed with PBE, using copper Kα.
Peak positions follow from Bragg's law for the DFT cell and can differ from measured ones.

Most intense lines, 2θ = 10–90°, by intensity:
30.19°, d = 2.960 Å, intensity 100; 43.08°, d = 2.100 Å, intensity 25; 43.37°, d = 2.086 Å, intensity 25; 53.91°, d = 1.701 Å, intensity 13; 42.87°, d = 2.110 Å, intensity 13; 43.54°, d = 2.079 Å, intensity 12; 62.77°, d = 1.480 Å, intensity 12; 26.20°, d = 3.402 Å, intensity 12; 71.45°, d = 1.320 Å, intensity 11; 71.02°, d = 1.327 Å, intensity 11; 53.58°, d = 1.710 Å, intensity 7; 53.08°, d = 1.725 Å, intensity 7

```
data_Pr2DyPuSe4
_chemical_formula_sum 'Pr2 Dy1 Pu1 Se4'
_symmetry_space_group_name_H-M 'P 1 2/m 1'
_symmetry_Int_Tables_number 10
_cell_length_a 7.237
_cell_length_b 4.157
_cell_length_c 7.300
_cell_angle_alpha 90.00
_cell_angle_beta 109.03
_cell_angle_gamma 90.00
loop_
_symmetry_equiv_pos_as_xyz
'x,y,z'
'-x,-y,-z'
'-x,y,-z'
'x,-y,z'
loop_
_atom_site_label
_atom_site_type_symbol
_atom_site_fract_x
_atom_site_fract_y
_atom_site_fract_z
Pr1 Pr 0.000 0.000 0.000
Pr2 Pr 0.500 0.500 0.000
Dy1 Dy 0.000 0.500 0.500
Pu1 Pu 0.500 0.000 0.500
Se1 Se 0.243 0.000 0.735
Se2 Se 0.252 0.500 0.263
```


# 8
The following is a simulated powder X-ray diffraction pattern of Pr2Sm3Dy6Pu. It was derived from a cell relaxed with PBE, using copper Kα.
Peak positions follow from Bragg's law for the DFT cell and can differ from measured ones.

Most intense lines, 2θ = 10–90°, by intensity:
30.55°, d = 2.927 Å, intensity 100; 35.50°, d = 2.529 Å, intensity 67; 30.83°, d = 2.901 Å, intensity 33; 60.69°, d = 1.526 Å, intensity 29; 50.89°, d = 1.794 Å, intensity 24; 51.26°, d = 1.782 Å, intensity 24; 60.53°, d = 1.530 Å, intensity 14; 61.02°, d = 1.518 Å, intensity 14; 63.58°, d = 1.463 Å, intensity 12; 82.95°, d = 1.164 Å, intensity 12; 75.14°, d = 1.264 Å, intensity 8; 85.63°, d = 1.134 Å, intensity 7

```
data_Pr2Sm3Dy6Pu
_chemical_formula_sum 'Pr4 Sm6 Dy12 Pu2'
_symmetry_space_group_name_H-M 'C 1 2/m 1'
_symmetry_Int_Tables_number 12
_cell_length_a 6.212
_cell_length_b 10.771
_cell_length_c 11.787
_cell_angle_alpha 90.00
_cell_angle_beta 100.16
_cell_angle_gamma 90.00
loop_
_symmetry_equiv_pos_as_xyz
'x,y,z'
'-x,-y,-z'
'-x,y,-z'
'x,-y,z'
'x+1/2,y+1/2,z'
'-x+1/2,-y+1/2,-z'
'-x+1/2,y+1/2,-z'
'x+1/2,-y+1/2,z'
loop_
_atom_site_label
_atom_site_type_symbol
_atom_site_fract_x
_atom_site_fract_y
_atom_site_fract_z
Pr1 Pr 0.000 0.167 0.000
Sm1 Sm 0.000 0.000 0.500
Sm2 Sm 0.000 0.333 0.500
Dy1 Dy 0.246 0.500 0.751
Dy2 Dy 0.247 0.336 0.249
Pu1 Pu 0.000 0.500 0.000
```


# 9
The following is a simulated powder X-ray diffraction pattern of Pr3Dy6Tm2Pu. It was derived from a cell relaxed with PBE, using copper Kα.
Peak positions follow from Bragg's law for the DFT cell and can differ from measured ones.

Most intense lines, 2θ = 10–90°, by intensity:
30.73°, d = 2.910 Å, intensity 100; 35.68°, d = 2.517 Å, intensity 67; 60.99°, d = 1.519 Å, intensity 33; 30.89°, d = 2.895 Å, intensity 32; 51.24°, d = 1.783 Å, intensity 24; 51.45°, d = 1.776 Å, intensity 23; 61.22°, d = 1.514 Å, intensity 14; 64.00°, d = 1.455 Å, intensity 12; 83.58°, d = 1.157 Å, intensity 12; 86.63°, d = 1.124 Å, intensity 10; 61.05°, d = 1.518 Å, intensity 9; 75.56°, d = 1.258 Å, intensity 7

```
data_Pr3Dy6Tm2Pu
_chemical_formula_sum 'Pr6 Dy12 Tm4 Pu2'
_symmetry_space_group_name_H-M 'C 1 2/m 1'
_symmetry_Int_Tables_number 12
_cell_length_a 6.175
_cell_length_b 10.700
_cell_length_c 11.762
_cell_angle_alpha 90.00
_cell_angle_beta 100.11
_cell_angle_gamma 90.00
loop_
_symmetry_equiv_pos_as_xyz
'x,y,z'
'-x,-y,-z'
'-x,y,-z'
'x,-y,z'
'x+1/2,y+1/2,z'
'-x+1/2,-y+1/2,-z'
'-x+1/2,y+1/2,-z'
'x+1/2,-y+1/2,z'
loop_
_atom_site_label
_atom_site_type_symbol
_atom_site_fract_x
_atom_site_fract_y
_atom_site_fract_z
Pr1 Pr 0.000 0.000 0.000
Pr2 Pr 0.000 0.333 0.000
Dy1 Dy 0.246 0.335 0.743
Dy2 Dy 0.249 0.500 0.257
Tm1 Tm 0.000 0.167 0.500
Pu1 Pu 0.000 0.500 0.500
```


# 10
The following is a simulated powder X-ray diffraction pattern of Rb3Pr3DyTe8. It was derived from a cell relaxed with PBE, using copper Kα.
Peak positions follow from Bragg's law for the DFT cell and can differ from measured ones.

Most intense lines, 2θ = 10–90°, by intensity:
26.28°, d = 3.391 Å, intensity 100; 10.00°, d = 8.844 Å, intensity 36; 39.56°, d = 2.278 Å, intensity 36; 35.35°, d = 2.539 Å, intensity 35; 48.12°, d = 1.891 Å, intensity 19; 32.76°, d = 2.734 Å, intensity 17; 44.00°, d = 2.058 Å, intensity 12; 63.99°, d = 1.455 Å, intensity 11; 54.08°, d = 1.696 Å, intensity 10; 40.85°, d = 2.209 Å, intensity 10; 69.05°, d = 1.360 Å, intensity 10; 71.74°, d = 1.316 Å, intensity 9

```
data_Rb3Pr3DyTe8
_chemical_formula_sum 'Rb6 Pr6 Dy2 Te16'
_symmetry_space_group_name_H-M 'C 1 2/m 1'
_symmetry_Int_Tables_number 12
_cell_length_a 15.790
_cell_length_b 9.109
_cell_length_c 10.293
_cell_angle_alpha 90.00
_cell_angle_beta 120.77
_cell_angle_gamma 90.00
loop_
_symmetry_equiv_pos_as_xyz
'x,y,z'
'-x,-y,-z'
'-x,y,-z'
'x,-y,z'
'x+1/2,y+1/2,z'
'-x+1/2,-y+1/2,-z'
'-x+1/2,y+1/2,-z'
'x+1/2,-y+1/2,z'
loop_
_atom_site_label
_atom_site_type_symbol
_atom_site_fract_x
_atom_site_fract_y
_atom_site_fract_z
Rb1 Rb 0.000 0.000 0.000
Rb2 Rb 0.250 0.250 0.000
Pr1 Pr 0.000 0.500 0.500
Pr2 Pr 0.250 0.250 0.500
Dy1 Dy 0.000 0.000 0.500
Te1 Te 0.014 0.244 0.299
Te2 Te 0.229 0.000 0.701
Te3 Te 0.236 0.500 0.708
```


# 11
The following is a simulated powder X-ray diffraction pattern of Pr4DyRh4. It was derived from a cell relaxed with PBE, using copper Kα.
Peak positions follow from Bragg's law for the DFT cell and can differ from measured ones.

Most intense lines, 2θ = 10–90°, by intensity:
31.60°, d = 2.832 Å, intensity 100; 32.29°, d = 2.773 Å, intensity 40; 38.18°, d = 2.357 Å, intensity 32; 45.29°, d = 2.002 Å, intensity 31; 27.01°, d = 3.301 Å, intensity 30; 48.12°, d = 1.891 Å, intensity 27; 44.57°, d = 2.033 Å, intensity 21; 52.54°, d = 1.742 Å, intensity 16; 43.37°, d = 2.086 Å, intensity 14; 18.15°, d = 4.887 Å, intensity 13; 64.50°, d = 1.445 Å, intensity 12; 39.43°, d = 2.285 Å, intensity 11

```
data_Pr4DyRh4
_chemical_formula_sum 'Pr8 Dy2 Rh8'
_symmetry_space_group_name_H-M 'P 42/n'
_symmetry_Int_Tables_number 86
_cell_length_a 8.955
_cell_length_b 8.955
_cell_length_c 5.832
_cell_angle_alpha 90.00
_cell_angle_beta 90.00
_cell_angle_gamma 90.00
loop_
_symmetry_equiv_pos_as_xyz
'x,y,z'
'-x,-y,-z'
'-y,x+1/2,z+1/2'
'y,-x+1/2,-z+1/2'
'-x+1/2,-y+1/2,z'
'x+1/2,y+1/2,-z'
'y+1/2,-x,z+1/2'
'-y+1/2,x,-z+1/2'
loop_
_atom_site_label
_atom_site_type_symbol
_atom_site_fract_x
_atom_site_fract_y
_atom_site_fract_z
Pr1 Pr 0.058 0.669 0.154
Dy1 Dy 0.250 0.250 0.250
Rh1 Rh 0.020 0.630 0.645
```


# 12
The following is a simulated powder X-ray diffraction pattern of PrDy3Rh2. It was derived from a cell relaxed with PBE, using copper Kα.
Peak positions follow from Bragg's law for the DFT cell and can differ from measured ones.

Most intense lines, 2θ = 10–90°, by intensity:
33.05°, d = 2.711 Å, intensity 100; 26.57°, d = 3.355 Å, intensity 44; 41.84°, d = 2.159 Å, intensity 37; 42.27°, d = 2.138 Å, intensity 27; 54.72°, d = 1.677 Å, intensity 18; 26.19°, d = 3.402 Å, intensity 15; 24.59°, d = 3.620 Å, intensity 13; 16.84°, d = 5.266 Å, intensity 13; 34.05°, d = 2.633 Å, intensity 13; 39.40°, d = 2.287 Å, intensity 11; 53.95°, d = 1.700 Å, intensity 9; 55.24°, d = 1.663 Å, intensity 9

```
data_PrDy3Rh2
_chemical_formula_sum 'Pr4 Dy12 Rh8'
_symmetry_space_group_name_H-M 'C 1 2/m 1'
_symmetry_Int_Tables_number 12
_cell_length_a 16.273
_cell_length_b 4.275
_cell_length_c 10.849
_cell_angle_alpha 90.00
_cell_angle_beta 116.44
_cell_angle_gamma 90.00
loop_
_symmetry_equiv_pos_as_xyz
'x,y,z'
'-x,-y,-z'
'-x,y,-z'
'x,-y,z'
'x+1/2,y+1/2,z'
'-x+1/2,-y+1/2,-z'
'-x+1/2,y+1/2,-z'
'x+1/2,-y+1/2,z'
loop_
_atom_site_label
_atom_site_type_symbol
_atom_site_fract_x
_atom_site_fract_y
_atom_site_fract_z
Pr1 Pr 0.056 0.000 0.211
Dy1 Dy 0.075 0.500 0.668
Dy2 Dy 0.170 0.500 0.028
Dy3 Dy 0.213 0.000 0.594
Rh1 Rh 0.119 0.500 0.423
Rh2 Rh 0.138 0.000 0.845
```